Computed powder diffractogram of Ga2CoO4 for Cu Kα (λ = 1.5418 Å), from DFT lattice parameters and positions (PBE+U).
Neutral-atom scattering factors, no anomalous dispersion.

The 10 most intense peaks (2θ = 15–90°), by angle:
| two_theta | I (rel.) |
| --- | --- |
| 29.93 | 18 |
| 29.98 | 15 |
| 35.26 | 100 |
| 35.42 | 47 |
| 42.91 | 27 |
| 56.68 | 27 |
| 56.89 | 20 |
| 62.05 | 11 |
| 62.29 | 43 |
| 62.65 | 10 |

Structure:
```
Ga2CoO4
1.0
5.155 -2.992 0.000
5.155 2.992 0.000
-3.317 0.000 19.422
Ga Co O
16 8 32
direct
0.000 0.000 0.000
0.101 0.101 0.286
0.123 0.633 0.878
0.129 0.625 0.377
0.250 0.250 0.750
0.350 0.350 0.033
0.372 0.883 0.627
0.379 0.873 0.128
0.401 0.401 0.220
0.500 0.500 0.499
0.600 0.600 0.782
0.625 0.129 0.377
0.633 0.123 0.878
0.850 0.850 0.532
0.873 0.379 0.128
0.883 0.372 0.627
0.124 0.124 0.877
0.153 0.153 0.470
0.374 0.374 0.627
0.625 0.625 0.375
0.654 0.654 0.972
0.751 0.751 0.252
0.874 0.874 0.129
0.903 0.903 0.721
0.051 0.556 0.187
0.067 0.067 0.185
0.068 0.531 0.688
0.075 0.075 0.687
0.180 0.180 0.065
0.184 0.710 0.065
0.185 0.185 0.572
0.210 0.687 0.565
0.282 0.817 0.939
0.316 0.316 0.934
0.321 0.779 0.437
0.327 0.327 0.436
0.431 0.431 0.816
0.434 0.434 0.317
0.437 0.959 0.815
0.453 0.944 0.318
0.531 0.068 0.688
0.556 0.051 0.187
0.565 0.565 0.186
0.566 0.566 0.684
0.681 0.681 0.566
0.684 0.684 0.075
0.687 0.210 0.565
0.710 0.184 0.065
0.779 0.321 0.437
0.817 0.282 0.939
0.818 0.818 0.435
0.824 0.824 0.937
0.935 0.935 0.319
0.935 0.935 0.823
0.944 0.453 0.318
0.959 0.437 0.815
```